1.
Theoretical powder XRD pattern of Cd2InSe for Cu Kα X-rays, from a DFT-relaxed cell (PBE, Alexandria).

Structural model:
a = 5.3105 Å, b = 3.9843 Å, c = 5.3517 Å
α = 90.00°, β = 108.66°, γ = 90.00°
Atoms (fractional coordinates):
Cd 0.2287 0.0000 0.2703
Cd 0.7713 0.0000 0.7297
In 0.5000 0.5000 0.0000
Se 0.0000 0.5000 0.5000

Principal peaks in the range 15° ≤ 2θ ≤ 90°, by intensity:
2θ/deg, I/Imax
30.49, 100.0
28.72, 60.7
42.25, 40.4
42.50, 39.6
54.73, 19.9
41.71, 18.7
45.53, 16.7
63.45, 10.3
51.22, 10.1
51.64, 9.8

2.
Theoretical powder XRD pattern of KLi2SiSe4 for Cu Kα X-rays, from a DFT-relaxed cell (PBE, Alexandria).

Structural model:
a = 6.5189 Å, b = 6.5189 Å, c = 6.5189 Å
α = 115.52°, β = 115.52°, γ = 97.95°
Atoms (fractional coordinates):
K 0.0000 0.0000 0.0000
Li 0.2500 0.7500 0.5000
Li 0.7500 0.2500 0.5000
Si 0.5000 0.5000 0.0000
Se 0.1562 0.5361 0.0000
Se 0.4639 0.4639 0.6201
Se 0.5361 0.1562 0.0000
Se 0.8438 0.8438 0.3799

Principal peaks in the range 15° ≤ 2θ ≤ 90°, by intensity:
2θ/deg, I/Imax
27.63, 100.0
30.58, 68.4
55.52, 23.0
18.04, 22.4
36.54, 20.5
25.62, 19.5
50.74, 18.6
46.42, 18.0
33.20, 17.4
50.06, 16.7

3.
Theoretical powder XRD pattern of Nb4Zn for Cu Kα X-rays, from a DFT-relaxed cell (PBE, Alexandria).

Structural model:
a = 2.7652 Å, b = 4.7305 Å, c = 7.2224 Å
α = 109.10°, β = 96.61°, γ = 90.18°
Atoms (fractional coordinates):
Nb 0.0922 0.3990 0.3015
Nb 0.3159 0.2036 0.9050
Nb 0.6841 0.7964 0.0950
Nb 0.9078 0.6010 0.6985
Zn 0.5000 0.0000 0.5000

Principal peaks in the range 15° ≤ 2θ ≤ 90°, by intensity:
2θ/deg, I/Imax
38.29, 100.0
38.05, 51.0
39.17, 46.7
39.27, 46.3
39.65, 45.3
68.90, 16.8
69.40, 16.4
69.63, 16.1
56.04, 16.0
55.82, 16.0

4.
Theoretical powder XRD pattern of Li3B4C4 for Cu Kα X-rays, from a DFT-relaxed cell (PBE, Alexandria).

Structural model:
a = 5.4543 Å, b = 4.7118 Å, c = 7.1856 Å
α = 90.00°, β = 90.00°, γ = 90.00°
Atoms (fractional coordinates):
Li 0.0000 0.0000 0.0000
Li 0.2417 0.5000 0.5000
Li 0.2583 0.5000 0.0000
Li 0.5000 0.0000 0.5000
Li 0.7417 0.5000 0.0000
Li 0.7583 0.5000 0.5000
B 0.0000 0.3315 0.2490
B 0.0000 0.6685 0.7510
B 0.2500 0.1645 0.7500
B 0.2500 0.8355 0.2500
B 0.5000 0.3315 0.2510
B 0.5000 0.6685 0.7490
B 0.7500 0.1645 0.7500
B 0.7500 0.8355 0.2500
C 0.0000 0.3315 0.7564
C 0.0000 0.6685 0.2436
C 0.2500 0.1693 0.2500
C 0.2500 0.8307 0.7500
C 0.5000 0.3315 0.7436
C 0.5000 0.6685 0.2564
C 0.7500 0.1693 0.2500
C 0.7500 0.8307 0.7500

Principal peaks in the range 15° ≤ 2θ ≤ 90°, by intensity:
2θ/deg, I/Imax
24.78, 100.0
46.03, 53.0
50.83, 17.2
69.00, 11.7
38.15, 8.4
74.56, 6.3
68.86, 5.9
86.88, 4.6
74.42, 3.2
20.44, 2.4

5.
Theoretical powder XRD pattern of Pm12Sm2Ho5 for Cu Kα X-rays, from a DFT-relaxed cell (PBE, Alexandria).

Structural model:
a = 9.4450 Å, b = 9.4450 Å, c = 8.0312 Å
α = 90.96°, β = 90.96°, γ = 64.44°
Atoms (fractional coordinates):
Pm 0.0516 0.0516 0.2109
Pm 0.0800 0.5383 0.7075
Pm 0.1202 0.6680 0.1122
Pm 0.3320 0.8798 0.8878
Pm 0.3424 0.3424 0.3766
Pm 0.4617 0.9200 0.2925
Pm 0.5383 0.0800 0.7075
Pm 0.6576 0.6576 0.6234
Pm 0.6680 0.1202 0.1122
Pm 0.8798 0.3320 0.8878
Pm 0.9200 0.4617 0.2925
Pm 0.9484 0.9484 0.7891
Sm 0.2704 0.7296 0.5000
Sm 0.7296 0.2704 0.5000
Ho 0.1478 0.1478 0.5821
Ho 0.2529 0.2529 0.0115
Ho 0.5000 0.5000 0.0000
Ho 0.7471 0.7471 0.9885
Ho 0.8522 0.8522 0.4179

Principal peaks in the range 15° ≤ 2θ ≤ 90°, by intensity:
2θ/deg, I/Imax
30.50, 100.0
30.76, 75.2
35.66, 30.0
35.15, 27.1
51.36, 25.4
35.73, 25.1
60.85, 19.8
50.94, 15.9
29.39, 14.9
50.65, 13.1

6.
Theoretical powder XRD pattern of CsCuI2Br6 for Cu Kα X-rays, from a DFT-relaxed cell (PBE, Alexandria).

Structural model:
a = 7.3588 Å, b = 7.7664 Å, c = 8.5193 Å
α = 106.22°, β = 91.89°, γ = 106.14°
Atoms (fractional coordinates):
Cs 0.0000 0.0000 0.0000
Cu 0.0461 0.5524 0.4184
I 0.3555 0.6822 0.0103
I 0.7501 0.4307 0.8354
Br 0.0095 0.2557 0.4562
Br 0.0872 0.8528 0.3877
Br 0.2967 0.5005 0.2577
Br 0.4157 0.8207 0.7615
Br 0.6928 0.3170 0.0991
Br 0.7987 0.6040 0.5837

Principal peaks in the range 15° ≤ 2θ ≤ 90°, by intensity:
2θ/deg, I/Imax
25.47, 100.0
29.22, 85.8
24.70, 74.5
17.67, 70.4
20.26, 60.4
27.37, 40.4
36.95, 35.1
52.35, 33.7
31.63, 31.0
26.65, 28.2

7.
Theoretical powder XRD pattern of La3Pd for Cu Kα X-rays, from a DFT-relaxed cell (PBE, Alexandria).

Structural model:
a = 3.7346 Å, b = 3.8143 Å, c = 9.4544 Å
α = 90.00°, β = 90.00°, γ = 90.00°
Atoms (fractional coordinates):
La 0.0000 0.0000 0.0000
La 0.0000 0.5000 0.3301
La 0.5000 0.5000 0.7181
Pd 0.5000 0.0000 0.4751

Principal peaks in the range 15° ≤ 2θ ≤ 90°, by intensity:
2θ/deg, I/Imax
34.94, 100.0
30.10, 94.1
25.65, 72.0
37.34, 31.2
58.38, 28.4
28.32, 25.0
38.75, 20.3
47.69, 18.2
48.77, 17.5
54.92, 17.4